Structure and calculated PXRD pattern of Tm2In6Ga2Co (a crystal structure in OQMD, relaxed with PBE; Cu Kα (weighted mean of Kα1 and Kα2)).

Atomic structure:
```
data_Tm2In6Ga2Co
_cell_length_a 4.4737
_cell_length_b 4.4737
_cell_length_c 12.0348
_cell_angle_alpha 90.00
_cell_angle_beta 90.00
_cell_angle_gamma 90.00
_symmetry_space_group_name_H-M 'P 4/m m m'
_symmetry_Int_Tables_number 123
_symmetry_space_group_name_Hall '-P 4 2'
loop_
_atom_site_label
_atom_site_type_symbol
_atom_site_fract_x
_atom_site_fract_y
_atom_site_fract_z
_atom_site_occupancy
Tm1 Tm 0.0000 0.0000 0.1912 1
In1 In 0.0000 0.5000 0.0000 1
In2 In 0.0000 0.5000 0.3777 1
Ga1 Ga 0.5000 0.5000 0.1928 1
Co1 Co 0.0000 0.0000 0.5000 1
```

Principal peaks in the range 15° ≤ 2θ ≤ 90°, by angle:
| d [Å] | Rel. int. | index |
| --- | --- | --- |
| 4.474 | 13 | 1 0 0 |
| 2.800 | 38 | 1 1 2 |
| 2.484 | 100 | 1 1 3 |
| 2.407 | 21 | 0 0 5 |
| 2.237 | 53 | 2 0 0 |
| 1.639 | 25 | 2 0 5 |
| 1.582 | 17 | 2 2 0 |
| 1.359 | 17 | 1 1 8 |
| 1.334 | 27 | 3 1 3 |
| 1.322 | 12 | 2 2 5 |

Structure and calculated PXRD pattern of Tm2In4Ga4Co (a crystal structure in OQMD, relaxed with PBE; Cu Kα (weighted mean of Kα1 and Kα2)).

Atomic structure:
```
data_Tm2In4Ga4Co
_cell_length_a 4.4175
_cell_length_b 4.4175
_cell_length_c 11.5305
_cell_angle_alpha 90.00
_cell_angle_beta 90.00
_cell_angle_gamma 90.00
_symmetry_space_group_name_H-M 'P 4/m m m'
_symmetry_Int_Tables_number 123
_symmetry_space_group_name_Hall '-P 4 2'
loop_
_atom_site_label
_atom_site_type_symbol
_atom_site_fract_x
_atom_site_fract_y
_atom_site_fract_z
_atom_site_occupancy
Tm1 Tm 0.0000 0.0000 0.2142 1
In1 In 0.0000 0.5000 0.0000 1
In2 In 0.5000 0.5000 0.2072 1
Ga1 Ga 0.0000 0.5000 0.3898 1
Co1 Co 0.0000 0.0000 0.5000 1
```

Principal peaks in the range 15° ≤ 2θ ≤ 90°, by angle:
| d [Å] | Rel. int. | index |
| --- | --- | --- |
| 2.746 | 100 | 1 1 2 |
| 2.424 | 89 | 1 1 3 |
| 2.306 | 28 | 0 0 5 |
| 2.209 | 68 | 2 0 0 |
| 1.595 | 35 | 2 0 5 |
| 1.562 | 22 | 2 2 0 |
| 1.457 | 17 | 1 1 7 |
| 1.358 | 22 | 3 1 2 |
| 1.313 | 24 | 3 1 3 |
| 1.293 | 17 | 2 2 5 |

Structure and calculated PXRD pattern of Tm2In6Ga2Co (a crystal structure in OQMD, relaxed with PBE; Cu Kα (weighted mean of Kα1 and Kα2)).

Atomic structure:
```
data_Tm2In6Ga2Co
_cell_length_a 4.5279
_cell_length_b 4.5279
_cell_length_c 11.7276
_cell_angle_alpha 90.00
_cell_angle_beta 90.00
_cell_angle_gamma 90.00
_symmetry_space_group_name_H-M 'P 4/m m m'
_symmetry_Int_Tables_number 123
_symmetry_space_group_name_Hall '-P 4 2'
loop_
_atom_site_label
_atom_site_type_symbol
_atom_site_fract_x
_atom_site_fract_y
_atom_site_fract_z
_atom_site_occupancy
Tm1 Tm 0.0000 0.0000 0.1759 1
In1 In 0.0000 0.5000 0.3750 1
In2 In 0.5000 0.5000 0.1790 1
Ga1 Ga 0.0000 0.5000 0.0000 1
Co1 Co 0.0000 0.0000 0.5000 1
```

Principal peaks in the range 15° ≤ 2θ ≤ 90°, by angle:
| d [Å] | Rel. int. | index |
| --- | --- | --- |
| 3.089 | 21 | 1 1 1 |
| 2.810 | 22 | 1 1 2 |
| 2.477 | 100 | 1 1 3 |
| 2.346 | 13 | 0 0 5 |
| 2.264 | 50 | 2 0 0 |
| 1.629 | 16 | 2 0 5 |
| 1.601 | 16 | 2 2 0 |
| 1.480 | 9 | 2 0 6 |
| 1.345 | 28 | 3 1 3 |
| 1.333 | 12 | 1 1 8 |

Structure and calculated PXRD pattern of LiZr2Ga2CoIr2 (a crystal structure in OQMD, relaxed with PBE; Cu Kα (weighted mean of Kα1 and Kα2)).

Atomic structure:
```
data_LiZr2Ga2CoIr2
_cell_length_a 4.4375
_cell_length_b 4.4375
_cell_length_c 6.3021
_cell_angle_alpha 90.00
_cell_angle_beta 90.00
_cell_angle_gamma 90.00
_symmetry_space_group_name_H-M 'P -4 m 2'
_symmetry_Int_Tables_number 115
_symmetry_space_group_name_Hall 'P -4 -2'
loop_
_atom_site_label
_atom_site_type_symbol
_atom_site_fract_x
_atom_site_fract_y
_atom_site_fract_z
_atom_site_occupancy
Li1 Li 0.0000 0.0000 0.0000 1
Zr1 Zr 0.0000 0.5000 0.7465 1
Ga1 Ga 0.0000 0.5000 0.2482 1
Co1 Co 0.5000 0.5000 0.5000 1
Ir1 Ir 0.0000 0.0000 0.5000 1
Ir2 Ir 0.5000 0.5000 0.0000 1
```

Principal peaks in the range 15° ≤ 2θ ≤ 90°, by angle:
| d [Å] | Rel. int. | index |
| --- | --- | --- |
| 3.628 | 40 | 1 0 1 |
| 2.222 | 100 | 2 0 0 |
| 1.899 | 7 | 1 0 3 |
| 1.893 | 14 | 2 1 1 |
| 1.576 | 6 | 0 0 4 |
| 1.569 | 11 | 2 2 0 |
| 1.443 | 6 | 2 1 3 |
| 1.285 | 11 | 2 0 4 |
| 1.282 | 22 | 3 1 2 |
| 1.112 | 7 | 2 2 4 |

Structure and calculated PXRD pattern of Li2Mg2Ga2CoPd (a crystal structure in OQMD, relaxed with PBE; Cu Kα (weighted mean of Kα1 and Kα2)).

Atomic structure:
```
data_Li2Mg2Ga2CoPd
_cell_length_a 4.3262
_cell_length_b 4.3262
_cell_length_c 6.1939
_cell_angle_alpha 90.00
_cell_angle_beta 90.00
_cell_angle_gamma 90.00
_symmetry_space_group_name_H-M 'P -4 m 2'
_symmetry_Int_Tables_number 115
_symmetry_space_group_name_Hall 'P -4 -2'
loop_
_atom_site_label
_atom_site_type_symbol
_atom_site_fract_x
_atom_site_fract_y
_atom_site_fract_z
_atom_site_occupancy
Li1 Li 0.0000 0.0000 0.0000 1
Li2 Li 0.5000 0.5000 0.5000 1
Mg1 Mg 0.0000 0.5000 0.2430 1
Ga1 Ga 0.0000 0.5000 0.7722 1
Co1 Co 0.5000 0.5000 0.0000 1
Pd1 Pd 0.0000 0.0000 0.5000 1
```

Principal peaks in the range 15° ≤ 2θ ≤ 90°, by angle:
| d [Å] | Rel. int. | index |
| --- | --- | --- |
| 3.547 | 96 | 1 0 1 |
| 2.176 | 100 | 1 1 2 |
| 2.163 | 51 | 2 0 0 |
| 1.863 | 14 | 1 0 3 |
| 1.847 | 29 | 2 1 1 |
| 1.548 | 7 | 0 0 4 |
| 1.530 | 16 | 2 2 0 |
| 1.412 | 11 | 2 1 3 |
| 1.259 | 14 | 2 0 4 |
| 1.251 | 31 | 3 1 2 |

Structure and calculated PXRD pattern of LiNbGaCo (a crystal structure in OQMD, relaxed with PBE; Cu Kα (weighted mean of Kα1 and Kα2)).

Atomic structure:
```
data_LiNbGaCo
_cell_length_a 4.1880
_cell_length_b 4.1880
_cell_length_c 5.9226
_cell_angle_alpha 90.00
_cell_angle_beta 90.00
_cell_angle_gamma 90.00
_symmetry_space_group_name_H-M 'P -4 m 2'
_symmetry_Int_Tables_number 115
_symmetry_space_group_name_Hall 'P -4 -2'
loop_
_atom_site_label
_atom_site_type_symbol
_atom_site_fract_x
_atom_site_fract_y
_atom_site_fract_z
_atom_site_occupancy
Li1 Li 0.0000 0.5000 0.2489 1
Nb1 Nb 0.0000 0.0000 0.5000 1
Nb2 Nb 0.5000 0.5000 0.0000 1
Ga1 Ga 0.0000 0.0000 0.0000 1
Ga2 Ga 0.5000 0.5000 0.5000 1
Co1 Co 0.0000 0.5000 0.7502 1
```

Principal peaks in the range 15° ≤ 2θ ≤ 90°, by angle:
| d [Å] | Rel. int. | index |
| --- | --- | --- |
| 3.419 | 18 | 1 0 1 |
| 2.961 | 25 | 1 1 0 |
| 2.094 | 100 | 2 0 0 |
| 1.786 | 8 | 2 1 1 |
| 1.710 | 7 | 2 0 2 |
| 1.481 | 16 | 2 2 0 |
| 1.359 | 3 | 3 0 1 |
| 1.324 | 9 | 3 1 0 |
| 1.209 | 31 | 3 1 2 |
| 1.140 | 2 | 3 2 1 |

Structure and calculated PXRD pattern of MgNbGaCo (a crystal structure in OQMD, relaxed with PBE; Cu Kα (weighted mean of Kα1 and Kα2)).

Atomic structure:
```
data_MgNbGaCo
_cell_length_a 6.1710
_cell_length_b 6.1710
_cell_length_c 6.1710
_cell_angle_alpha 90.00
_cell_angle_beta 90.00
_cell_angle_gamma 90.00
_symmetry_space_group_name_H-M 'F -4 3 m'
_symmetry_Int_Tables_number 216
_symmetry_space_group_name_Hall 'F -4 2 3'
loop_
_atom_site_label
_atom_site_type_symbol
_atom_site_fract_x
_atom_site_fract_y
_atom_site_fract_z
_atom_site_occupancy
Mg1 Mg 0.0000 0.0000 0.0000 1
Nb1 Nb 0.2500 0.2500 0.7500 1
Ga1 Ga 0.2500 0.2500 0.2500 1
Co1 Co 0.0000 0.0000 0.5000 1
```

Principal peaks in the range 15° ≤ 2θ ≤ 90°, by angle:
| d [Å] | Rel. int. | index |
| --- | --- | --- |
| 3.563 | 7 | 1 1 1 |
| 3.085 | 13 | 2 0 0 |
| 2.182 | 100 | 2 2 0 |
| 1.861 | 3 | 3 1 1 |
| 1.781 | 4 | 2 2 2 |
| 1.543 | 16 | 4 0 0 |
| 1.416 | 1 | 3 3 1 |
| 1.380 | 5 | 4 2 0 |
| 1.260 | 31 | 4 2 2 |
| 1.091 | 10 | 4 4 0 |

What did the second record say?
Structure and calculated PXRD pattern of Tm2In4Ga4Co (a crystal structure in OQMD, relaxed with PBE; Cu Kα (weighted mean of Kα1 and Kα2)).

Atomic structure:
```
data_Tm2In4Ga4Co
_cell_length_a 4.4175
_cell_length_b 4.4175
_cell_length_c 11.5305
_cell_angle_alpha 90.00
_cell_angle_beta 90.00
_cell_angle_gamma 90.00
_symmetry_space_group_name_H-M 'P 4/m m m'
_symmetry_Int_Tables_number 123
_symmetry_space_group_name_Hall '-P 4 2'
loop_
_atom_site_label
_atom_site_type_symbol
_atom_site_fract_x
_atom_site_fract_y
_atom_site_fract_z
_atom_site_occupancy
Tm1 Tm 0.0000 0.0000 0.2142 1
In1 In 0.0000 0.5000 0.0000 1
In2 In 0.5000 0.5000 0.2072 1
Ga1 Ga 0.0000 0.5000 0.3898 1
Co1 Co 0.0000 0.0000 0.5000 1
```

Principal peaks in the range 15° ≤ 2θ ≤ 90°, by angle:
| d [Å] | Rel. int. | index |
| --- | --- | --- |
| 2.746 | 100 | 1 1 2 |
| 2.424 | 89 | 1 1 3 |
| 2.306 | 28 | 0 0 5 |
| 2.209 | 68 | 2 0 0 |
| 1.595 | 35 | 2 0 5 |
| 1.562 | 22 | 2 2 0 |
| 1.457 | 17 | 1 1 7 |
| 1.358 | 22 | 3 1 2 |
| 1.313 | 24 | 3 1 3 |
| 1.293 | 17 | 2 2 5 |